No. 1
Theoretical XRD peak list
Compound: UO5
Radiation: λ = 1.5418 Å (Cu Kα)
Structure: the PBE geometry in the Materials Project
No peak broadening, texture or thermal motion is included.

Structure:
Unit cell a=6.7152 b=6.7152 c=4.2912 alpha=90.00 beta=90.00 gamma=90.00
Atoms (fractional coordinates):
U1 0.0000 0.0000 0.0000
U2 0.5000 0.5000 0.5000
O1 0.0000 0.0000 0.5000
O2 0.0915 0.2592 0.0000
O3 0.2408 0.5915 0.5000
O4 0.2592 0.9085 0.0000
O5 0.4085 0.2408 0.5000
O6 0.5000 0.5000 0.0000
O7 0.5915 0.7592 0.5000
O8 0.7408 0.0915 0.0000
O9 0.7592 0.4085 0.5000
O10 0.9085 0.7408 0.0000

Most intense lines, 2θ from 10° to 90°, in order of rising 2θ:
2θ/deg, I_rel
18.69, 99
24.62, 100
26.55, 37
36.52, 45
42.57, 27
53.65, 22

---

No. 2
Theoretical XRD peak list
Compound: UO3
Radiation: λ = 1.5418 Å (Cu Kα)
Structure: the PBE geometry in the Materials Project
No peak broadening, texture or thermal motion is included.

Structure:
Unit cell a=4.1648 b=4.1648 c=4.1648 alpha=90.00 beta=90.00 gamma=90.00
Atoms (fractional coordinates):
U1 0.0000 0.0000 0.0000
O1 0.0000 0.0000 0.5000
O2 0.0000 0.5000 0.0000
O3 0.5000 0.0000 0.0000

Most intense lines, 2θ from 10° to 90°, in order of rising 2θ:
2θ/deg, I_rel
21.33, 100
30.35, 62
43.46, 20
48.90, 45
53.93, 27
67.46, 22

---

No. 3
Theoretical XRD peak list
Compound: UO3
Radiation: λ = 1.5418 Å (Cu Kα)
Structure: the PBE geometry in the Materials Project
No peak broadening, texture or thermal motion is included.

Structure:
Unit cell a=4.0746 b=14.5100 c=10.4861 alpha=90.00 beta=97.48 gamma=90.00
Atoms (fractional coordinates):
U1 0.0026 0.0000 0.0014
U2 0.1602 0.2358 0.3430
U3 0.2017 0.2520 0.8015
U4 0.3447 0.5160 0.6656
U5 0.3854 0.9759 0.6992
U6 0.6146 0.4759 0.3008
U7 0.6553 0.0160 0.3344
U8 0.7983 0.7520 0.1985
U9 0.8398 0.7358 0.6570
U10 0.9974 0.5000 0.9986
O1 0.0043 0.3842 0.9243
O2 0.0177 0.1187 0.9390
O3 0.0926 0.4550 0.2278
O4 0.0971 0.2404 0.1706
O5 0.1527 0.0534 0.3279
O6 0.1982 0.7441 0.2976
O7 0.2248 0.2359 0.5160
O8 0.2964 0.4960 0.4720
O9 0.3094 0.3791 0.7009
O10 0.3385 0.6628 0.6505
O11 0.3519 0.1046 0.7177
O12 0.3561 0.8448 0.6577
O13 0.4229 0.5304 0.8604
O14 0.4525 0.7546 0.0733
O15 0.4613 0.9755 0.9102
O16 0.5387 0.4755 0.0898
O17 0.5475 0.2546 0.9267
O18 0.5771 0.0304 0.1396
O19 0.6439 0.3448 0.3423
O20 0.6481 0.6046 0.2823
O21 0.6615 0.1628 0.3495
O22 0.6906 0.8791 0.2991
O23 0.7036 0.9960 0.5280
O24 0.7752 0.7359 0.4840
O25 0.8018 0.2441 0.7024
O26 0.8473 0.5534 0.6721
O27 0.9029 0.7404 0.8294
O28 0.9074 0.9550 0.7722
O29 0.9823 0.6187 0.0610
O30 0.9957 0.8842 0.0757

Most intense lines, 2θ from 10° to 90°, in order of rising 2θ:
2θ/deg, I_rel
18.13, 49
24.54, 86
25.71, 33
27.60, 43
28.54, 33
28.92, 100

---

No. 4
Theoretical XRD peak list
Compound: U4O7
Radiation: λ = 1.5418 Å (Cu Kα)
Structure: the PBE geometry in the Materials Project
No peak broadening, texture or thermal motion is included.

Structure:
Unit cell a=6.6514 b=6.6514 c=10.8536 alpha=114.03 beta=114.03 gamma=48.54
Atoms (fractional coordinates):
U1 0.1187 0.1378 0.4444
U2 0.1378 0.1187 0.9444
U3 0.3530 0.3881 0.8163
U4 0.3881 0.3530 0.3163
U5 0.6119 0.6470 0.6837
U6 0.6470 0.6119 0.1837
U7 0.8622 0.8813 0.0556
U8 0.8813 0.8622 0.5556
O1 0.0037 0.4979 0.3762
O2 0.0145 0.5074 0.1310
O3 0.2458 0.7542 0.7500
O4 0.2472 0.7467 0.0112
O5 0.2533 0.7528 0.4888
O6 0.4926 0.9855 0.3690
O7 0.4979 0.0037 0.8762
O8 0.5021 0.9963 0.1238
O9 0.5074 0.0145 0.6310
O10 0.7467 0.2472 0.5112
O11 0.7528 0.2533 0.9888
O12 0.7542 0.2458 0.2500
O13 0.9855 0.4926 0.8690
O14 0.9963 0.5021 0.6238

Most intense lines, 2θ from 10° to 90°, in order of rising 2θ:
2θ/deg, I_rel
28.42, 100
33.02, 26
47.20, 31
47.39, 16
55.84, 15
56.18, 30

---

No. 5
Theoretical XRD peak list
Compound: U11O5
Radiation: λ = 1.5418 Å (Cu Kα)
Structure: the PBE geometry in the Materials Project
No peak broadening, texture or thermal motion is included.

Structure:
Unit cell a=3.3190 b=7.9695 c=11.7122 alpha=85.57 beta=82.41 gamma=78.75
Atoms (fractional coordinates):
U1 0.0000 0.0000 0.0000
U2 0.0090 0.5883 0.6142
U3 0.2043 0.5014 0.3231
U4 0.2389 0.9814 0.6633
U5 0.2637 0.3280 0.1308
U6 0.2771 0.8129 0.4677
U7 0.3850 0.3503 0.7768
U8 0.5116 0.7127 0.1872
U9 0.6781 0.2009 0.5832
U10 0.7150 0.6800 0.9042
U11 0.8177 0.1147 0.2147
O1 0.1393 0.3577 0.4886
O2 0.3552 0.9541 0.3030
O3 0.4152 0.2051 0.9439
O4 0.7211 0.4899 0.0483
O5 0.7797 0.8181 0.7377

Most intense lines, 2θ from 10° to 90°, in order of rising 2θ:
2θ/deg, I_rel
19.55, 41
31.71, 100
32.18, 90
32.50, 68
35.77, 38
38.85, 39

---

No. 6
Theoretical XRD peak list
Compound: UO3
Radiation: λ = 1.5418 Å (Cu Kα)
Structure: the PBE geometry in the Materials Project
No peak broadening, texture or thermal motion is included.

Structure:
Unit cell a=11.2438 b=11.2438 c=11.2438 alpha=143.84 beta=143.84 gamma=52.06
Atoms (fractional coordinates):
U1 0.0000 0.0000 0.0000
U2 0.0000 0.0000 0.5000
U3 0.0000 0.5000 0.0000
U4 0.1860 0.4360 0.7500
U5 0.4360 0.1860 0.2500
U6 0.5000 0.0000 0.5000
U7 0.5640 0.8140 0.7500
U8 0.8140 0.5640 0.2500
O1 0.0762 0.5664 0.5098
O2 0.0927 0.1433 0.5507
O3 0.0927 0.5420 0.9493
O4 0.1433 0.0927 0.0507
O5 0.1769 0.2342 0.9427
O6 0.2085 0.7658 0.4427
O7 0.2342 0.1769 0.4427
O8 0.2342 0.7915 0.0573
O9 0.4336 0.4435 0.5098
O10 0.4336 0.9238 0.9902
O11 0.4435 0.4336 0.0098
O12 0.4580 0.9073 0.5507
O13 0.5420 0.0927 0.4493
O14 0.5565 0.5664 0.9902
O15 0.5664 0.0762 0.0098
O16 0.5664 0.5565 0.4902
O17 0.7658 0.2085 0.9427
O18 0.7658 0.8231 0.5573
O19 0.7915 0.2342 0.5573
O20 0.8231 0.7658 0.0573
O21 0.8567 0.9073 0.9493
O22 0.9073 0.4580 0.0507
O23 0.9073 0.8567 0.4493
O24 0.9238 0.4336 0.4902

Most intense lines, 2θ from 10° to 90°, in order of rising 2θ:
2θ/deg, I_rel
17.56, 30
20.03, 51
25.49, 100
27.03, 47
28.95, 42
31.60, 66

---

No. 7
Theoretical XRD peak list
Compound: UO3
Radiation: λ = 1.5418 Å (Cu Kα)
Structure: the PBE geometry in the Materials Project
No peak broadening, texture or thermal motion is included.

Structure:
Unit cell a=4.1965 b=4.2035 c=19.7445 alpha=90.00 beta=95.30 gamma=90.00
Atoms (fractional coordinates):
U1 0.0000 0.0000 0.0000
U2 0.0301 0.0000 0.7821
U3 0.5816 0.0000 0.1442
U4 0.6831 0.0000 0.3581
U5 0.8719 0.0000 0.5698
O1 0.0405 0.5000 0.7859
O2 0.0629 0.0000 0.9046
O3 0.0663 0.0000 0.1122
O4 0.1814 0.0000 0.3552
O5 0.3727 0.0000 0.5692
O6 0.5163 0.0000 0.7508
O7 0.5505 0.0000 0.8256
O8 0.5622 0.5000 0.1527
O9 0.5728 0.2480 0.0230
O10 0.5728 0.7520 0.0230
O11 0.6284 0.0000 0.2467
O12 0.6734 0.5000 0.3582
O13 0.7802 0.0000 0.4633
O14 0.8712 0.5000 0.5707
O15 0.9707 0.0000 0.6769

Most intense lines, 2θ from 10° to 90°, in order of rising 2θ:
2θ/deg, I_rel
21.14, 100
21.31, 62
22.61, 55
30.19, 40
31.15, 38
43.07, 30

---

No. 8
Theoretical XRD peak list
Compound: U3O5
Radiation: λ = 1.5418 Å (Cu Kα)
Structure: the PBE geometry in the Materials Project
No peak broadening, texture or thermal motion is included.

Structure:
Unit cell a=3.8269 b=3.8269 c=9.4473 alpha=90.00 beta=90.00 gamma=120.00
Atoms (fractional coordinates):
U1 0.0000 0.0000 0.0000
U2 0.3333 0.6667 0.6571
U3 0.6667 0.3333 0.3286
O1 0.0000 0.0000 0.2414
O2 0.0000 0.0000 0.7631
O3 0.3333 0.6667 0.4143
O4 0.6667 0.3333 0.0541
O5 0.6667 0.3333 0.5803

Most intense lines, 2θ from 10° to 90°, in order of rising 2θ:
2θ/deg, I_rel
28.34, 34
28.54, 100
33.02, 53
47.26, 31
47.52, 31
56.26, 31

---

No. 9
Theoretical XRD peak list
Compound: U12O19
Radiation: λ = 1.5418 Å (Cu Kα)
Structure: the PBE geometry in the Materials Project
No peak broadening, texture or thermal motion is included.

Structure:
Unit cell a=3.8501 b=3.8501 c=37.0280 alpha=90.00 beta=90.00 gamma=120.00
Atoms (fractional coordinates):
U1 0.0000 0.0000 0.0000
U2 0.0000 0.0000 0.2490
U3 0.0000 0.0000 0.4981
U4 0.0000 0.0000 0.7475
U5 0.3333 0.6667 0.0821
U6 0.3333 0.6667 0.3307
U7 0.3333 0.6667 0.5830
U8 0.3333 0.6667 0.8326
U9 0.6667 0.3333 0.1642
U10 0.6667 0.3333 0.4161
U11 0.6667 0.3333 0.6651
U12 0.6667 0.3333 0.9145
O1 0.0000 0.0000 0.0610
O2 0.0000 0.0000 0.3106
O3 0.0000 0.0000 0.4320
O4 0.0000 0.0000 0.6863
O5 0.0000 0.0000 0.8070
O6 0.0000 0.0000 0.9397
O7 0.3333 0.6667 0.0145
O8 0.3333 0.6667 0.1493
O9 0.3333 0.6667 0.2694
O10 0.3333 0.6667 0.5235
O11 0.3333 0.6667 0.6443
O12 0.3333 0.6667 0.8941
O13 0.6667 0.3333 0.1029
O14 0.6667 0.3333 0.2238
O15 0.6667 0.3333 0.3564
O16 0.6667 0.3333 0.4779
O17 0.6667 0.3333 0.5977
O18 0.6667 0.3333 0.7328
O19 0.6667 0.3333 0.8530

Most intense lines, 2θ from 10° to 90°, in order of rising 2θ:
2θ/deg, I_rel
28.45, 100
28.94, 32
33.11, 53
47.22, 32
47.84, 30
56.33, 31

---

No. 10
Theoretical XRD peak list
Compound: UO3
Radiation: λ = 1.5418 Å (Cu Kα)
Structure: the PBE geometry in the Materials Project
No peak broadening, texture or thermal motion is included.

Structure:
Unit cell a=11.3025 b=11.2806 c=6.9742 alpha=72.18 beta=71.84 gamma=35.98
Atoms (fractional coordinates):
U1 0.0000 0.0000 0.0000
U2 0.0000 0.0000 0.5000
U3 0.0000 0.5000 0.0000
U4 0.1860 0.1860 0.5640
U5 0.4360 0.4360 0.8140
U6 0.5000 0.0000 0.0000
U7 0.5640 0.5640 0.1860
U8 0.8140 0.8140 0.4360
O1 0.0764 0.5558 0.4259
O2 0.0910 0.0930 0.4604
O3 0.0930 0.0910 0.8555
O4 0.1445 0.5396 0.9070
O5 0.1771 0.7902 0.7628
O6 0.2098 0.8229 0.2301
O7 0.2301 0.2372 0.2098
O8 0.2372 0.2301 0.8229
O9 0.4259 0.4419 0.0764
O10 0.4419 0.4259 0.5558
O11 0.4442 0.9236 0.5581
O12 0.4604 0.8555 0.0910
O13 0.5396 0.1445 0.9090
O14 0.5558 0.0764 0.4419
O15 0.5581 0.5741 0.4442
O16 0.5741 0.5581 0.9236
O17 0.7628 0.7699 0.1771
O18 0.7699 0.7628 0.7902
O19 0.7902 0.1771 0.7699
O20 0.8229 0.2098 0.2372
O21 0.8555 0.4604 0.0930
O22 0.9070 0.9090 0.1445
O23 0.9090 0.9070 0.5396
O24 0.9236 0.4442 0.5741

Most intense lines, 2θ from 10° to 90°, in order of rising 2θ:
2θ/deg, I_rel
17.46, 42
25.37, 100
25.55, 38
27.04, 65
31.47, 46
31.69, 44

---

- What is the formula in the ninth record?
  U12O19

---

- What is the formula in the fifth record?
  U11O5